# Ho2PaAsO8
Simulated XRD peak list, a wavelength of 1.5418 Å. Input: a GGA-PBE-relaxed structure.
Peak positions follow from Bragg's law for the DFT cell and can differ from measured ones.

Most intense lines, 10° ≤ 2θ ≤ 90°, by intensity:
- d = 2.775 Å, I 100
- d = 3.542 Å, I 60
- d = 3.439 Å, I 53
- d = 1.859 Å, I 41
- d = 1.829 Å, I 36
- d = 2.467 Å, I 30
- d = 1.477 Å, I 22
- d = 3.976 Å, I 20
- d = 1.388 Å, I 12
- d = 1.547 Å, I 10

Structure:
```
Ho2PaAsO8
1.0
3.439 -3.542 0.000
3.439 3.542 0.000
0.000 0.000 6.712
Ho Pa As O
2 1 1 8
Cartesian
0.000 0.000 1.575
0.000 0.000 5.137
3.439 0.000 3.356
3.439 0.000 0.000
1.349 0.000 3.356
1.602 0.000 0.000
3.439 1.264 1.462
3.439 1.264 5.250
3.439 -1.264 1.462
3.439 -1.264 5.250
5.275 0.000 0.000
5.528 0.000 3.356
```